# 1
Starting from DFT lattice parameters and positions (PBE+U), the PXRD pattern of ZnW2SO3 was calculated for Cu Kα, 1.54184 Å.
Kinematic intensities with the Lorentz-polarization factor, no thermal factor.

Peak list (10 most intense, 2θ from 10° to 80°, in order of rising 2θ)
10.3 deg, I = 39; 13.3 deg, I = 32; 15.5 deg, I = 58; 16.1 deg, I = 100; 23.7 deg, I = 33; 24.2 deg, I = 40; 28.2 deg, I = 39; 28.4 deg, I = 45; 30.5 deg, I = 86; 33.1 deg, I = 54

Cell: 7.967 8.494 8.955 Å, 92.12 105.33 101.46°
Space group P-1 (No. 2)
Asymmetric unit:
1 Zn 0.000 0.000 0.000 [1 per cell]
2 Zn 0.013 0.250 0.511 [2 per cell]
3 Zn 0.500 0.500 0.500 [1 per cell]
4 W 0.084 0.714 0.090 [2 per cell]
5 W 0.232 0.415 0.213 [2 per cell]
6 W 0.316 0.028 0.931 [2 per cell]
7 W 0.496 0.736 0.267 [2 per cell]
8 S 0.159 0.551 0.745 [2 per cell]
9 S 0.239 0.037 0.416 [2 per cell]
10 O 0.002 0.354 0.307 [2 per cell]
11 O 0.052 0.368 0.733 [2 per cell]
12 O 0.056 0.035 0.309 [2 per cell]
13 O 0.225 0.882 0.498 [2 per cell]
14 O 0.229 0.554 0.607 [2 per cell]
15 O 0.248 0.178 0.552 [2 per cell]

---

# 2
Starting from DFT lattice parameters and positions (PBE+U), the PXRD pattern of VSbSe4O12 was calculated for Cu Kα, 1.54184 Å.
Kinematic intensities with the Lorentz-polarization factor, no thermal factor.

Peak list (10 most intense, 2θ from 10° to 80°, in order of rising 2θ)
18.6 deg, I = 17; 18.7 deg, I = 19; 24.2 deg, I = 100; 26.5 deg, I = 18; 26.6 deg, I = 32; 30.8 deg, I = 17; 36.2 deg, I = 31; 36.3 deg, I = 28; 41.0 deg, I = 13; 49.6 deg, I = 23

Cell: 8.217 8.222 8.224 Å, 90.00 90.48 90.00°
Space group P2_1/c (No. 14)
Asymmetric unit:
1 V 0.000 0.000 0.000 [2 per cell]
2 Sb 0.500 0.000 0.500 [2 per cell]
3 Se 0.161 0.170 0.331 [4 per cell]
4 Se 0.328 0.666 0.334 [4 per cell]
5 O 0.033 0.032 0.243 [4 per cell]
6 O 0.033 0.243 0.968 [4 per cell]
7 O 0.245 0.534 0.467 [4 per cell]
8 O 0.260 0.028 0.471 [4 per cell]
9 O 0.470 0.532 0.243 [4 per cell]
10 O 0.471 0.743 0.968 [4 per cell]

---

# 3
Starting from DFT lattice parameters and positions (PBE+U), the PXRD pattern of TlV2SbO8 was calculated for Cu Kα, 1.54184 Å.
Kinematic intensities with the Lorentz-polarization factor, no thermal factor.

Peak list (10 most intense, 2θ from 10° to 80°, in order of rising 2θ)
18.6 deg, I = 37; 19.5 deg, I = 25; 21.0 deg, I = 31; 23.8 deg, I = 26; 25.9 deg, I = 100; 28.3 deg, I = 88; 30.4 deg, I = 49; 31.6 deg, I = 62; 40.0 deg, I = 24; 47.9 deg, I = 25

Cell: 14.935 5.665 8.827 Å, 90.00 90.00 90.00°
Space group Pnma (No. 62)
Asymmetric unit:
1 Tl 0.114 0.250 0.059 [4 per cell]
2 V 0.026 0.750 0.296 [4 per cell]
3 V 0.218 0.250 0.491 [4 per cell]
4 Sb 0.122 0.750 0.681 [4 per cell]
5 O 0.039 0.504 0.763 [8 per cell]
6 O 0.052 0.750 0.489 [4 per cell]
7 O 0.117 0.750 0.191 [4 per cell]
8 O 0.133 0.250 0.374 [4 per cell]
9 O 0.180 0.750 0.885 [4 per cell]
10 O 0.210 0.510 0.607 [8 per cell]